This entry pairs a crystal structure of Dy6WO12 with its calculated X-ray diffraction stick pattern. Radiation: a wavelength of 1.5418 Å. Structure: a structure optimized by DFT (PBE+U).
Intensities are scaled so that the largest is 100.

Atomic structure:
Cell lengths 6.4904, 6.4904, 6.4904 Å; angles 98.67, 98.67, 98.67 degrees
Sites, in units of the cell vectors:
Dy: 0.1111 0.6443 0.8163
Dy: 0.1837 0.8889 0.3557
Dy: 0.3557 0.1837 0.8889
Dy: 0.6443 0.8163 0.1111
Dy: 0.8163 0.1111 0.6443
Dy: 0.8889 0.3557 0.1837
W: 0.5000 0.5000 0.5000
O: 0.0679 0.3226 0.9094
O: 0.0906 0.9321 0.6774
O: 0.2034 0.5350 0.4225
O: 0.3226 0.9094 0.0679
O: 0.4225 0.2034 0.5350
O: 0.4650 0.5775 0.7966
O: 0.5350 0.4225 0.2034
O: 0.5775 0.7966 0.4650
O: 0.6774 0.0906 0.9321
O: 0.7966 0.4650 0.5775
O: 0.9094 0.0679 0.3226
O: 0.9321 0.6774 0.0906

The 8 most intense peaks (2θ from 10° to 80°), low angle first:
2θ (°), Rel. int.
28.50, 31
29.30, 100
33.73, 46
47.93, 26
48.95, 27
56.71, 11
57.62, 23
58.07, 13